# 1
K2CuC2O6: calculated X-ray diffraction stick pattern (Cu Kα (λ = 1.5418 Å)), based on a crystal structure in the Materials Project, relaxed with GGA-PBE.
Peak positions follow from Bragg's law for the DFT cell and can differ from measured ones.

Most intense lines, 15 to 90 degrees two-theta, by intensity:
2θ/deg	intensity
30.30	100
16.86	86
31.03	64
32.41	51
27.55	24
29.78	24
47.32	23
21.98	23
38.85	22
25.13	21

Crystal structure
a = 11.6190 Å, b = 17.8923 Å, c = 6.2481 Å
α = 90.00°, β = 90.00°, γ = 90.00°
Space group Fdd2 (No. 43)
Inequivalent atoms, fractional coordinates:
K: 0.0799 0.3001 0.0000
Cu: 0.0000 0.0000 0.1923
C: 0.0813 0.3731 0.4893
O: 0.0602 0.4105 0.3212
O: 0.0814 0.4040 0.6805
O: 0.1005 0.3003 0.4845

# 2
K5CuCO5: calculated X-ray diffraction stick pattern (Cu Kα (λ = 1.5418 Å)), based on a crystal structure in the Materials Project, relaxed with GGA-PBE.
Peak positions follow from Bragg's law for the DFT cell and can differ from measured ones.

Most intense lines, 15 to 90 degrees two-theta, by intensity:
2θ/deg	intensity
30.92	100
32.74	27
33.65	26
19.44	21
16.20	20
40.71	17
36.95	16
37.56	16
16.64	16
19.06	13

Crystal structure
a = 8.8654 Å, b = 10.9398 Å, c = 10.6539 Å
α = 90.00°, β = 90.00°, γ = 90.00°
Space group Aem2 (No. 39)
Inequivalent atoms, fractional coordinates:
K: 0.0000 0.0000 0.0000
K: 0.2486 0.0348 0.2563
K: 0.2589 0.2500 0.9667
K: 0.2656 0.2500 0.5529
Cu: 0.5000 0.0000 0.0030
C: 0.0141 0.2500 0.7730
O: 0.0519 0.1466 0.7207
O: 0.0589 0.2500 0.3793
O: 0.2971 0.0137 0.0036

# 3
K2CuC2O6: calculated X-ray diffraction stick pattern (Cu Kα (λ = 1.5418 Å)), based on a crystal structure in the Materials Project, relaxed with GGA-PBE.
Peak positions follow from Bragg's law for the DFT cell and can differ from measured ones.

Most intense lines, 15 to 90 degrees two-theta, by intensity:
2θ/deg	intensity
30.30	100
16.86	82
31.03	63
32.41	49
29.78	24
27.55	24
47.32	23
21.98	22
38.85	21
18.21	20

Crystal structure
a = 6.2481 Å, b = 6.5962 Å, c = 9.4759 Å
α = 81.02°, β = 70.75°, γ = 61.73°
Space group P1 (No. 1)
Inequivalent atoms, fractional coordinates:
K: 0.0000 0.0000 0.0000
K: 0.0989 0.8155 0.4998
K: 0.2497 0.3092 0.1982
K: 0.6531 0.4915 0.6982
Cu: 0.4372 0.1511 0.5914
Cu: 0.6762 0.6589 0.0994
C: 0.1044 0.4907 0.8417
C: 0.5880 0.0020 0.8467
C: 0.6828 0.8233 0.3509
C: 0.6852 0.3134 0.3453
O: 0.2014 0.4501 0.6942
O: 0.2084 0.5325 0.9205
O: 0.4393 0.9938 0.7834
O: 0.4604 0.3266 0.4050
O: 0.5179 0.8137 0.2850
O: 0.5408 0.9548 0.9902
O: 0.5844 0.8563 0.4969
O: 0.7328 0.3617 0.1948
O: 0.7726 0.0361 0.7703
O: 0.8440 0.2744 0.4139
O: 0.8671 0.4912 0.9037
O: 0.9147 0.7758 0.2728

# 4
K3CuPCO7: calculated X-ray diffraction stick pattern (Cu Kα (λ = 1.5418 Å)), based on a crystal structure in the Materials Project, relaxed with GGA-PBE.
Peak positions follow from Bragg's law for the DFT cell and can differ from measured ones.

Most intense lines, 15 to 90 degrees two-theta, by intensity:
2θ/deg	intensity
30.82	100
32.41	53
30.92	47
24.43	44
32.28	28
50.06	22
32.69	18
43.08	16
27.73	15
45.46	15

Crystal structure
a = 5.5247 Å, b = 7.2898 Å, c = 9.5406 Å
α = 90.00°, β = 90.81°, γ = 90.00°
Space group P2_1/m (No. 11)
Inequivalent atoms, fractional coordinates:
K: 0.2412 0.2500 0.0782
K: 0.2513 0.5155 0.7202
Cu: 0.2340 0.7500 0.3591
P: 0.2878 0.2500 0.4250
C: 0.2674 0.7500 0.0910
O: 0.0736 0.7500 0.1694
O: 0.1178 0.2500 0.5528
O: 0.2467 0.7500 0.9559
O: 0.2501 0.0777 0.3304
O: 0.4396 0.7500 0.5223
O: 0.4749 0.7500 0.1549

# 5
Na2LiCuPCO7: calculated X-ray diffraction stick pattern (Cu Kα (λ = 1.5418 Å)), based on a crystal structure in the Materials Project, relaxed with GGA-PBE.
Peak positions follow from Bragg's law for the DFT cell and can differ from measured ones.

Most intense lines, 15 to 90 degrees two-theta, by intensity:
2θ/deg	intensity
33.72	100
26.71	98
34.49	86
25.89	67
16.67	63
33.23	60
49.62	50
21.66	46
55.02	38
19.40	37

Crystal structure
a = 5.2064 Å, b = 6.6756 Å, c = 8.8136 Å
α = 90.00°, β = 92.74°, γ = 90.00°
Space group P2_1/m (No. 11)
Inequivalent atoms, fractional coordinates:
Na: 0.2360 0.0044 0.2601
Li: 0.3390 0.2500 0.8786
Cu: 0.2797 0.7500 0.6470
P: 0.1931 0.2500 0.5856
C: 0.2323 0.7500 0.9458
O: 0.0018 0.7500 0.8884
O: 0.1076 0.7500 0.4453
O: 0.2673 0.0667 0.6894
O: 0.2844 0.7500 0.0913
O: 0.3253 0.2500 0.4341
O: 0.4305 0.7500 0.8583

# 6
Li2Cu3C3O9: calculated X-ray diffraction stick pattern (Cu Kα (λ = 1.5418 Å)), based on a crystal structure in the Materials Project, relaxed with GGA-PBE.
Peak positions follow from Bragg's law for the DFT cell and can differ from measured ones.

Most intense lines, 15 to 90 degrees two-theta, by intensity:
2θ/deg	intensity
21.66	100
36.16	74
28.60	43
37.94	25
53.40	22
48.19	19
44.19	17
31.30	17
38.07	12
63.81	10

Crystal structure
a = 8.1903 Å, b = 6.2419 Å, c = 8.2056 Å
α = 90.00°, β = 119.78°, γ = 90.00°
Space group Pm (No. 6)
Inequivalent atoms, fractional coordinates:
Li: 0.0000 0.0000 0.0000
Li: 0.0017 0.5000 0.0011
Li: 0.3792 0.0000 0.6491
Li: 0.7320 0.5000 0.3794
Cu: 0.0656 0.2544 0.6882
Cu: 0.3681 0.2474 0.3209
Cu: 0.6821 0.2481 0.0208
C: 0.0379 0.2500 0.3412
C: 0.3664 0.0000 0.0042
C: 0.3680 0.5000 0.0118
C: 0.7057 0.2500 0.6793
O: 0.2168 0.2308 0.4489
O: 0.2678 0.0000 0.8200
O: 0.2725 0.5000 0.8317
O: 0.2776 0.0000 0.1002
O: 0.2824 0.5000 0.1117
O: 0.5475 0.0000 0.0889
O: 0.5527 0.5000 0.1006
O: 0.5969 0.2277 0.7500
O: 0.6381 0.2684 0.5010
O: 0.8895 0.2535 0.7920
O: 0.9274 0.2663 0.4100
O: 0.9664 0.2526 0.1581